[1]
This entry pairs a crystal structure of PmTmLu4 with its computed XRD peak list. Radiation: CuKα. Structure: a GGA-PBE-relaxed structure.
Peak positions follow from Bragg's law for the DFT cell and can differ from measured ones.

Main lines, sorted by position (2θ = 10–90°):
| h k l | two_theta | I_rel |
| --- | --- | --- |
| 1 1 1 | 16.71 | 7.8 |
| 2 2 0 | 27.45 | 23.4 |
| 3 1 1 | 32.31 | 100.0 |
| 2 2 2 | 33.79 | 43.9 |
| 4 0 0 | 39.22 | 6.5 |
| 4 2 2 | 48.54 | 9.9 |
| 5 1 1 | 51.69 | 35.9 |
| 4 4 0 | 56.67 | 32.1 |
| 5 3 3 | 66.75 | 12.5 |
| 6 2 2 | 67.63 | 17.9 |
| 7 3 1 | 80.24 | 22.6 |
| 8 0 0 | 84.32 | 5.3 |

Structural model:
a = 9.1890 Å, b = 9.1890 Å, c = 9.1890 Å
α = 90.00°, β = 90.00°, γ = 90.00°
Space group F-43m (No. 216)
Inequivalent atoms, fractional coordinates:
1 Pm 0.0000 0.0000 0.0000 (multiplicity 4)
2 Tm 0.2500 0.2500 0.2500 (multiplicity 4)
3 Lu 0.1247 0.1247 0.6247 (multiplicity 16)

***

[2]
This entry pairs a crystal structure of PmLuZn4 with its computed XRD peak list. Radiation: CuKα. Structure: a GGA-PBE-relaxed structure.
Peak positions follow from Bragg's law for the DFT cell and can differ from measured ones.

Main lines, sorted by position (2θ = 10–90°):
| h k l | two_theta | I_rel |
| --- | --- | --- |
| 1 1 1 | 19.87 | 9.2 |
| 2 2 0 | 32.73 | 58.4 |
| 3 1 1 | 38.58 | 100.0 |
| 2 2 2 | 40.37 | 17.7 |
| 3 3 1 | 51.47 | 2.5 |
| 4 2 2 | 58.42 | 22.5 |
| 5 1 1 | 62.34 | 31.9 |
| 4 4 0 | 68.60 | 23.7 |
| 5 3 1 | 72.22 | 2.0 |
| 6 2 0 | 78.10 | 9.7 |
| 5 3 3 | 81.57 | 11.0 |
| 6 2 2 | 82.72 | 5.9 |

Structural model:
a = 7.7392 Å, b = 7.7392 Å, c = 7.7392 Å
α = 90.00°, β = 90.00°, γ = 90.00°
Space group F-43m (No. 216)
Inequivalent atoms, fractional coordinates:
1 Pm 0.0000 0.0000 0.0000 (multiplicity 4)
2 Lu 0.2500 0.2500 0.7500 (multiplicity 4)
3 Zn 0.1248 0.1248 0.3752 (multiplicity 16)

***

[3]
This entry pairs a crystal structure of Pr5Lu with its computed XRD peak list. Radiation: CuKα. Structure: a GGA-PBE-relaxed structure.
Peak positions follow from Bragg's law for the DFT cell and can differ from measured ones.

Main lines, sorted by position (2θ = 10–90°):
| h k l | two_theta | I_rel |
| --- | --- | --- |
| 1 3 1 | 29.79 | 100.0 |
| 2 0 0 | 34.49 | 33.9 |
| 0 0 2 | 34.63 | 16.8 |
| 2 6 0 | 49.61 | 24.3 |
| 2 0 2 | 49.70 | 12.1 |
| 3 3 1 | 58.91 | 29.0 |
| 1 3 3 | 59.10 | 14.4 |
| 2 6 2 | 61.88 | 12.5 |
| 3 9 1 | 80.51 | 5.9 |
| 3 3 3 | 80.68 | 11.7 |
| 2 12 0 | 83.00 | 5.4 |
| 2 0 4 | 83.37 | 5.4 |

Structural model:
a = 5.1962 Å, b = 15.6195 Å, c = 5.1802 Å
α = 90.00°, β = 90.00°, γ = 90.00°
Space group Cmmm (No. 65)
Inequivalent atoms, fractional coordinates:
1 Pr 0.0000 0.0000 0.0000 (multiplicity 2)
2 Pr 0.0000 0.1647 0.5000 (multiplicity 4)
3 Pr 0.0000 0.3347 0.0000 (multiplicity 4)
4 Lu 0.0000 0.5000 0.5000 (multiplicity 2)

***

[4]
This entry pairs a crystal structure of PrLuRuPt with its computed XRD peak list. Radiation: CuKα. Structure: a GGA-PBE-relaxed structure.
Peak positions follow from Bragg's law for the DFT cell and can differ from measured ones.

Main lines, sorted by position (2θ = 10–90°):
| h k l | two_theta | I_rel |
| --- | --- | --- |
| 1 1 1 | 22.09 | 5.3 |
| 2 2 0 | 36.46 | 100.0 |
| 3 1 1 | 43.04 | 3.1 |
| 4 0 0 | 52.52 | 17.7 |
| 3 3 1 | 57.65 | 1.4 |
| 4 2 2 | 65.62 | 36.1 |
| 5 1 1 | 70.16 | 1.0 |
| 4 4 0 | 77.47 | 11.3 |
| 5 3 1 | 81.74 | 1.1 |
| 6 2 0 | 88.78 | 16.6 |

Structural model:
a = 6.9699 Å, b = 6.9699 Å, c = 6.9699 Å
α = 90.00°, β = 90.00°, γ = 90.00°
Space group F-43m (No. 216)
Inequivalent atoms, fractional coordinates:
1 Pr 0.0000 0.0000 0.0000 (multiplicity 4)
2 Lu 0.0000 0.0000 0.5000 (multiplicity 4)
3 Ru 0.2500 0.2500 0.2500 (multiplicity 4)
4 Pt 0.2500 0.2500 0.7500 (multiplicity 4)

***

[5]
This entry pairs a crystal structure of PrLuSe3 with its computed XRD peak list. Radiation: CuKα. Structure: a GGA-PBE-relaxed structure.
Peak positions follow from Bragg's law for the DFT cell and can differ from measured ones.

Main lines, sorted by position (2θ = 10–90°):
| h k l | two_theta | I_rel |
| --- | --- | --- |
| 0 2 2 | 22.35 | 87.3 |
| 1 1 0 | 22.99 | 25.5 |
| 1 3 0 | 30.06 | 100.0 |
| 1 3 1 | 31.39 | 73.3 |
| 1 3 2 | 35.12 | 66.0 |
| 1 1 3 | 35.56 | 39.6 |
| 0 0 4 | 35.94 | 33.3 |
| 1 1 4 | 43.10 | 28.0 |
| 2 0 0 | 44.77 | 34.3 |
| 1 5 2 | 44.94 | 34.5 |
| 0 6 2 | 45.20 | 47.2 |
| 2 6 2 | 65.51 | 31.1 |

Structural model:
a = 4.0484 Å, b = 13.1423 Å, c = 9.9944 Å
α = 90.00°, β = 90.00°, γ = 90.00°
Space group Cmcm (No. 63)
Inequivalent atoms, fractional coordinates:
1 Pr 0.0000 0.2479 0.2500 (multiplicity 4)
2 Lu 0.0000 0.5000 0.0000 (multiplicity 4)
3 Se 0.0000 0.1429 0.5611 (multiplicity 8)
4 Se 0.0000 0.4151 0.7500 (multiplicity 4)

***

[6]
This entry pairs a crystal structure of PrLuSe with its computed XRD peak list. Radiation: CuKα. Structure: a GGA-PBE-relaxed structure.
Peak positions follow from Bragg's law for the DFT cell and can differ from measured ones.

Main lines, sorted by position (2θ = 10–90°):
| h k l | two_theta | I_rel |
| --- | --- | --- |
| 0 0 2 | 26.63 | 12.4 |
| 1 0 1 | 29.71 | 100.0 |
| 0 1 2 | 37.91 | 38.0 |
| 1 1 0 | 46.75 | 26.8 |
| 1 0 3 | 48.97 | 17.1 |
| 1 1 2 | 54.60 | 11.2 |
| 0 2 1 | 56.38 | 16.5 |
| 2 0 2 | 61.69 | 9.1 |
| 1 1 3 | 63.48 | 7.7 |
| 1 1 4 | 74.87 | 8.2 |
| 2 1 1 | 76.18 | 13.6 |
| 1 2 2 | 80.83 | 8.5 |

Structural model:
a = 3.8863 Å, b = 3.8863 Å, c = 6.6954 Å
α = 90.00°, β = 90.00°, γ = 120.00°
Space group P3m1 (No. 156)
Inequivalent atoms, fractional coordinates:
1 Pr 0.0000 0.0000 0.0000 (multiplicity 1)
2 Lu 0.3333 0.6667 0.5579 (multiplicity 1)
3 Se 0.6667 0.3333 0.2999 (multiplicity 1)

***

[7]
This entry pairs a crystal structure of PrSm2Lu with its computed XRD peak list. Radiation: CuKα. Structure: a GGA-PBE-relaxed structure.
Peak positions follow from Bragg's law for the DFT cell and can differ from measured ones.

Main lines, sorted by position (2θ = 10–90°):
| h k l | two_theta | I_rel |
| --- | --- | --- |
| 1 1 1 | 30.37 | 100.0 |
| 0 0 2 | 35.01 | 17.2 |
| 2 0 0 | 35.31 | 33.5 |
| 2 0 2 | 50.57 | 24.3 |
| 2 2 0 | 50.80 | 12.0 |
| 1 1 3 | 59.94 | 14.6 |
| 3 1 1 | 60.34 | 28.6 |
| 2 2 2 | 63.19 | 12.4 |
| 3 1 3 | 82.36 | 11.9 |
| 3 3 1 | 82.71 | 5.9 |
| 2 0 4 | 84.71 | 5.6 |
| 4 0 2 | 85.23 | 5.5 |

Structural model:
a = 5.0837 Å, b = 5.0837 Å, c = 5.1259 Å
α = 90.00°, β = 90.00°, γ = 90.00°
Space group P4/mmm (No. 123)
Inequivalent atoms, fractional coordinates:
1 Pr 0.0000 0.0000 0.0000 (multiplicity 1)
2 Sm 0.0000 0.5000 0.5000 (multiplicity 2)
3 Lu 0.5000 0.5000 0.0000 (multiplicity 1)

***

[8]
This entry pairs a crystal structure of PrLuThZr with its computed XRD peak list. Radiation: CuKα. Structure: a GGA-PBE-relaxed structure.
Peak positions follow from Bragg's law for the DFT cell and can differ from measured ones.

Main lines, sorted by position (2θ = 10–90°):
| h k l | two_theta | I_rel |
| --- | --- | --- |
| 1 1 1 | 19.75 | 6.9 |
| 2 0 0 | 22.85 | 2.8 |
| 2 2 0 | 32.53 | 100.0 |
| 3 1 1 | 38.35 | 4.2 |
| 4 0 0 | 46.67 | 18.5 |
| 3 3 1 | 51.15 | 2.0 |
| 4 2 2 | 58.04 | 38.7 |
| 5 1 1 | 61.94 | 1.5 |
| 4 4 0 | 68.14 | 12.0 |
| 5 3 1 | 71.73 | 1.5 |
| 6 2 0 | 77.56 | 16.7 |
| 4 4 4 | 86.64 | 4.3 |

Structural model:
a = 7.7847 Å, b = 7.7847 Å, c = 7.7847 Å
α = 90.00°, β = 90.00°, γ = 90.00°
Space group F-43m (No. 216)
Inequivalent atoms, fractional coordinates:
1 Pr 0.0000 0.0000 0.0000 (multiplicity 4)
2 Lu 0.2500 0.2500 0.2500 (multiplicity 4)
3 Th 0.0000 0.0000 0.5000 (multiplicity 4)
4 Zr 0.2500 0.2500 0.7500 (multiplicity 4)